Sr4Fe2CoNiO12: computed XRD peak list (λ = 1.5418 Å (Cu Kα)), based on a DFT-relaxed cell (PBE+U, Alexandria).
Lines closer than 0.1° are merged.

Structure:
abc: 5.5058 5.5058 26.9686
angles: 90.00 90.00 120.00
Space group R3m (No. 160, hexagonal axes)
Inequivalent atoms, fractional coordinates:
Sr 0.0000 0.0000 0.0000 (multiplicity 3)
Sr 0.0000 0.0000 0.2482 (multiplicity 3)
Sr 0.0000 0.0000 0.4974 (multiplicity 3)
Sr 0.0000 0.0000 0.7491 (multiplicity 3)
Fe 0.0000 0.0000 0.6241 (multiplicity 3)
Fe 0.0000 0.0000 0.8730 (multiplicity 3)
Co 0.0000 0.0000 0.3745 (multiplicity 3)
Ni 0.0000 0.0000 0.1238 (multiplicity 3)
O 0.0039 0.5020 0.4992 (multiplicity 9)
O 0.0048 0.5024 0.9992 (multiplicity 9)
O 0.1673 0.3345 0.5825 (multiplicity 9)
O 0.1707 0.3415 0.0800 (multiplicity 9)

Top 7 peaks for 10° ≤ 2θ ≤ 80°, low angle first:
d (Å)  intensity  (hkl)
2.753  100  1 1 0
2.248  12  0 2 4
1.946  38  2 0 8
1.741  1  2 1 4
1.589  38  3 0 0
1.376  22  2 2 0
1.231  16  3 1 8